# K2Ac2UO6
Computed XRD peak list, a wavelength of 1.5418 Å. Input: DFT lattice parameters and positions (GGA-PBE).

Structure:
```
data_K2Ac2UO6
_symmetry_space_group_name_H-M 'C 1 2/m 1'
_symmetry_Int_Tables_number 12
_symmetry_space_group_name_Hall '-C 2y'
_cell_length_a 6.5535
_cell_length_b 11.2769
_cell_length_c 6.7200
_cell_angle_alpha 90.00
_cell_angle_beta 105.20
_cell_angle_gamma 90.00
loop_
_atom_site_label
_atom_site_type_symbol
_atom_site_fract_x
_atom_site_fract_y
_atom_site_fract_z
K1 K 0.0000 0.1552 0.0000
Ac1 Ac 0.0000 0.3350 0.5000
U1 U 0.0000 0.0000 0.5000
O1 O 0.1940 0.1580 0.6694
O2 O 0.2358 0.0000 0.3226
```

Largest 10 diffraction maxima, sorted by position, 15° ≤ 2θ ≤ 90°:
Position (°2θ)  I (rel.)  index
27.56  100.0  0 0 2
27.96  28.7  2 0 -1
28.22  37.1  2 0 0
29.18  65.8  1 3 -1
32.57  79.7  1 3 1
34.02  36.1  2 0 -2
36.53  23.6  1 3 -2
42.04  27.0  1 3 2
47.36  25.0  1 3 -3
48.26  26.5  3 3 -1

# ThZrCo2
Computed XRD peak list, a wavelength of 1.5418 Å. Input: DFT lattice parameters and positions (GGA-PBE).

Structure:
```
data_ThZrCo2
_symmetry_space_group_name_H-M 'P 1 m 1'
_symmetry_Int_Tables_number 6
_symmetry_space_group_name_Hall 'P -2y'
_cell_length_a 3.5656
_cell_length_b 4.1066
_cell_length_c 5.3279
_cell_angle_alpha 90.00
_cell_angle_beta 109.46
_cell_angle_gamma 90.00
loop_
_atom_site_label
_atom_site_type_symbol
_atom_site_fract_x
_atom_site_fract_y
_atom_site_fract_z
Th1 Th 0.0000 0.0000 0.0000
Zr1 Zr 0.2775 0.5000 0.5553
Co1 Co 0.5609 0.5000 0.1209
Co2 Co 0.7309 0.0000 0.4622
```

Largest 10 diffraction maxima, sorted by position, 15° ≤ 2θ ≤ 90°:
Position (°2θ)  I (rel.)  index
17.66  17.8  0 0 1
26.53  18.9  1 0 0
28.07  35.0  0 1 1
34.49  100.0  1 1 -1
35.75  30.0  0 0 2
36.82  31.8  1 0 1
42.17  18.2  0 1 2
43.11  47.1  1 1 1
44.11  24.1  0 2 0
58.76  16.7  1 2 1

# RbCdGaSn2
Computed XRD peak list, a wavelength of 1.5418 Å. Input: DFT lattice parameters and positions (GGA-PBE).

Structure:
```
data_RbCdGaSn2
_symmetry_space_group_name_H-M 'I -4 m 2'
_symmetry_Int_Tables_number 119
_symmetry_space_group_name_Hall 'I -4 -2'
_cell_length_a 5.0500
_cell_length_b 5.0500
_cell_length_c 11.8825
_cell_angle_alpha 90.00
_cell_angle_beta 90.00
_cell_angle_gamma 90.00
loop_
_atom_site_label
_atom_site_type_symbol
_atom_site_fract_x
_atom_site_fract_y
_atom_site_fract_z
Rb1 Rb 0.0000 0.0000 0.0000
Cd1 Cd 0.0000 0.5000 0.7500
Ga1 Ga 0.0000 0.5000 0.2500
Sn1 Sn 0.0000 0.0000 0.3767
```

Largest 10 diffraction maxima, sorted by position, 15° ≤ 2θ ≤ 90°:
Position (°2θ)  I (rel.)  index
19.10  31.3  1 0 1
28.64  86.4  1 0 3
29.18  99.2  1 1 2
35.55  100.0  2 0 0
39.46  66.8  1 1 4
42.02  34.3  1 0 5
46.28  46.7  2 1 3
51.16  35.2  2 2 0
56.19  29.5  2 1 5
66.47  29.0  3 1 4

# Pm4Sm4Ho3
Computed XRD peak list, a wavelength of 1.5418 Å. Input: DFT lattice parameters and positions (GGA-PBE).

Structure:
```
data_Pm4Sm4Ho3
_symmetry_space_group_name_H-M 'P -1'
_symmetry_Int_Tables_number 2
_symmetry_space_group_name_Hall '-P 1'
_cell_length_a 3.5562
_cell_length_b 5.6969
_cell_length_c 18.2932
_cell_angle_alpha 98.91
_cell_angle_beta 95.56
_cell_angle_gamma 90.00
loop_
_atom_site_label
_atom_site_type_symbol
_atom_site_fract_x
_atom_site_fract_y
_atom_site_fract_z
Pm1 Pm 0.0902 0.0911 0.1806
Pm2 Pm 0.2326 0.7325 0.4648
Sm1 Sm 0.0455 0.5467 0.0916
Sm2 Sm 0.1799 0.1803 0.3601
Ho1 Ho 0.3644 0.3637 0.7283
Ho2 Ho 0.5000 0.0000 0.0000
```

Largest 10 diffraction maxima, sorted by position, 15° ≤ 2θ ≤ 90°:
Position (°2θ)  I (rel.)  index
30.57  41.6  1 0 -4
31.27  92.0  1 -1 2
31.41  51.9  0 2 -1
31.55  100.0  0 1 5
44.40  30.0  -1 2 3
45.63  17.8  1 0 7
55.83  17.9  1 -3 3
56.00  20.0  0 3 4
56.44  19.0  1 -2 8
61.52  37.9  2 2 -2

# K2MgCd16
Computed XRD peak list, a wavelength of 1.5418 Å. Input: DFT lattice parameters and positions (GGA-PBE).

Structure:
```
data_K2MgCd16
_symmetry_space_group_name_H-M 'R 3 m'
_symmetry_Int_Tables_number 160
_symmetry_space_group_name_Hall 'R 3 -2"'
_cell_length_a 10.3808
_cell_length_b 10.3808
_cell_length_c 15.3209
_cell_angle_alpha 90.00
_cell_angle_beta 90.00
_cell_angle_gamma 120.00
loop_
_atom_site_label
_atom_site_type_symbol
_atom_site_fract_x
_atom_site_fract_y
_atom_site_fract_z
K1 K 0.0000 0.0000 0.0000
K2 K 0.0000 0.0000 0.3180
Mg1 Mg 0.0000 0.0000 0.5656
Cd1 Cd 0.0000 0.0000 0.7627
Cd2 Cd 0.9999 0.2951 0.6588
Cd3 Cd 0.0018 0.5009 0.8073
Cd4 Cd 0.0030 0.5015 0.1590
Cd5 Cd 0.1692 0.3383 0.8429
```

Largest 10 diffraction maxima, sorted by position, 15° ≤ 2θ ≤ 90°:
Position (°2θ)  I (rel.)  index
17.08  48.9  1 1 0
30.67  18.8  0 2 4
34.56  41.1  2 2 0
34.71  77.7  0 3 3
35.14  33.7  0 0 6
35.45  19.6  2 0 5
38.93  100.0  2 2 3
39.32  26.0  1 1 6
61.93  18.0  6 0 0
62.78  14.6  0 3 9

# GdLuTe2
Computed XRD peak list, a wavelength of 1.5418 Å. Input: DFT lattice parameters and positions (GGA-PBE).

Structure:
```
data_GdLuTe2
_symmetry_space_group_name_H-M 'F m -3 m'
_symmetry_Int_Tables_number 225
_symmetry_space_group_name_Hall '-F 4 2 3'
_cell_length_a 7.5409
_cell_length_b 7.5409
_cell_length_c 7.5409
_cell_angle_alpha 90.00
_cell_angle_beta 90.00
_cell_angle_gamma 90.00
loop_
_atom_site_label
_atom_site_type_symbol
_atom_site_fract_x
_atom_site_fract_y
_atom_site_fract_z
Gd1 Gd 0.0000 0.0000 0.0000
Lu1 Lu 0.0000 0.0000 0.5000
Te1 Te 0.2500 0.2500 0.2500
```

Largest 9 diffraction maxima, sorted by position, 15° ≤ 2θ ≤ 90°:
Position (°2θ)  I (rel.)  index
23.60  2.3  2 0 0
33.62  100.0  2 2 0
41.48  0.7  2 2 2
48.28  18.1  4 0 0
54.41  1.1  4 2 0
60.11  37.5  4 2 2
70.66  11.5  4 4 0
75.67  0.5  6 0 0
80.57  16.2  6 2 0

# Pr4SmY6
Computed XRD peak list, a wavelength of 1.5418 Å. Input: DFT lattice parameters and positions (GGA-PBE).

Structure:
```
data_Pr4SmY6
_symmetry_space_group_name_H-M 'P -6 m 2'
_symmetry_Int_Tables_number 187
_symmetry_space_group_name_Hall 'P -6 2'
_cell_length_a 11.1516
_cell_length_b 11.1516
_cell_length_c 3.6099
_cell_angle_alpha 90.00
_cell_angle_beta 90.00
_cell_angle_gamma 120.00
loop_
_atom_site_label
_atom_site_type_symbol
_atom_site_fract_x
_atom_site_fract_y
_atom_site_fract_z
Pr1 Pr 0.0000 0.0000 0.0000
Pr2 Pr 0.9998 0.4999 0.5000
Sm1 Sm 0.6667 0.3333 0.0000
Y1 Y 0.1763 0.3526 0.0000
Y2 Y 0.3061 0.1530 0.5000
```

Largest 10 diffraction maxima, sorted by position, 15° ≤ 2θ ≤ 90°:
Position (°2θ)  I (rel.)  index
18.37  17.6  2 0 0
29.48  30.7  1 1 1
30.93  70.6  2 0 1
32.11  100.0  2 2 0
34.96  19.2  2 1 1
37.43  16.7  3 0 1
45.18  22.6  4 0 1
56.50  22.1  4 2 1
57.23  16.9  6 0 0
61.17  30.7  2 2 2

# K3Ni2Cl7
Computed XRD peak list, a wavelength of 1.5418 Å. Input: DFT lattice parameters and positions (GGA-PBE).

Structure:
```
data_K3Ni2Cl7
_symmetry_space_group_name_H-M 'I 4/m m m'
_symmetry_Int_Tables_number 139
_symmetry_space_group_name_Hall '-I 4 2'
_cell_length_a 4.8073
_cell_length_b 4.8073
_cell_length_c 24.8746
_cell_angle_alpha 90.00
_cell_angle_beta 90.00
_cell_angle_gamma 90.00
loop_
_atom_site_label
_atom_site_type_symbol
_atom_site_fract_x
_atom_site_fract_y
_atom_site_fract_z
K1 K 0.0000 0.0000 0.0000
K2 K 0.0000 0.0000 0.1807
Ni1 Ni 0.0000 0.0000 0.4035
Cl1 Cl 0.0000 0.0000 0.3091
Cl2 Cl 0.0000 0.0000 0.5000
Cl3 Cl 0.0000 0.5000 0.0942
```

Largest 10 diffraction maxima, sorted by position, 15° ≤ 2θ ≤ 90°:
Position (°2θ)  I (rel.)  index
18.80  43.7  1 0 1
25.77  38.1  1 0 5
26.22  50.4  1 1 0
34.11  44.6  1 1 6
36.11  40.0  0 0 10
37.41  100.0  2 0 0
45.99  15.8  2 1 5
52.98  46.7  2 0 10
53.97  38.6  2 2 0
66.64  21.9  2 2 10

# Ac2Ce2CoPb2
Computed XRD peak list, a wavelength of 1.5418 Å. Input: DFT lattice parameters and positions (GGA-PBE).

Structure:
```
data_Ac2Ce2CoPb2
_symmetry_space_group_name_H-M 'I 4/m m m'
_symmetry_Int_Tables_number 139
_symmetry_space_group_name_Hall '-I 4 2'
_cell_length_a 4.9956
_cell_length_b 4.9956
_cell_length_c 18.0896
_cell_angle_alpha 90.00
_cell_angle_beta 90.00
_cell_angle_gamma 90.00
loop_
_atom_site_label
_atom_site_type_symbol
_atom_site_fract_x
_atom_site_fract_y
_atom_site_fract_z
Ac1 Ac 0.0000 0.0000 0.1733
Ce1 Ce 0.0000 0.5000 0.0000
Co1 Co 0.0000 0.0000 0.0000
Pb1 Pb 0.0000 0.0000 0.3678
```

Largest 10 diffraction maxima, sorted by position, 15° ≤ 2θ ≤ 90°:
Position (°2θ)  I (rel.)  index
25.21  61.3  1 1 0
27.10  65.8  1 1 2
29.63  39.8  0 0 6
30.51  63.2  1 0 5
32.15  100.0  1 1 4
35.95  88.4  2 0 0
47.26  44.7  2 0 6
47.85  38.7  2 1 5
51.76  31.7  2 2 0
62.25  31.3  3 1 4

# Zn5Ag4Au
Computed XRD peak list, a wavelength of 1.5418 Å. Input: DFT lattice parameters and positions (GGA-PBE).

Structure:
```
data_Zn5Ag4Au
_symmetry_space_group_name_H-M 'P 4/m m m'
_symmetry_Int_Tables_number 123
_symmetry_space_group_name_Hall '-P 4 2'
_cell_length_a 3.2328
_cell_length_b 3.2328
_cell_length_c 15.4574
_cell_angle_alpha 90.00
_cell_angle_beta 90.00
_cell_angle_gamma 90.00
loop_
_atom_site_label
_atom_site_type_symbol
_atom_site_fract_x
_atom_site_fract_y
_atom_site_fract_z
Zn1 Zn 0.0000 0.0000 0.0000
Zn2 Zn 0.0000 0.0000 0.1992
Zn3 Zn 0.0000 0.0000 0.4014
Ag1 Ag 0.5000 0.5000 0.0999
Ag2 Ag 0.5000 0.5000 0.2993
Au1 Au 0.5000 0.5000 0.5000
```

Largest 10 diffraction maxima, sorted by position, 15° ≤ 2θ ≤ 90°:
Position (°2θ)  I (rel.)  index
27.59  11.6  1 0 0
28.88  5.2  0 0 5
39.42  53.6  1 1 0
40.37  100.0  1 0 5
56.97  17.5  2 0 0
59.83  7.5  0 0 10
72.12  33.8  2 1 5
74.04  15.6  1 1 10
84.83  5.5  2 2 0
87.27  10.4  2 0 10

# KRbCo2S
Computed XRD peak list, a wavelength of 1.5418 Å. Input: DFT lattice parameters and positions (GGA-PBE).

Structure:
```
data_KRbCo2S
_symmetry_space_group_name_H-M 'P 4/m m m'
_symmetry_Int_Tables_number 123
_symmetry_space_group_name_Hall '-P 4 2'
_cell_length_a 5.5873
_cell_length_b 5.5873
_cell_length_c 5.8176
_cell_angle_alpha 90.00
_cell_angle_beta 90.00
_cell_angle_gamma 90.00
loop_
_atom_site_label
_atom_site_type_symbol
_atom_site_fract_x
_atom_site_fract_y
_atom_site_fract_z
K1 K 0.0000 0.0000 0.0000
Rb1 Rb 0.5000 0.5000 0.5000
Co1 Co 0.0000 0.5000 0.0000
S1 S 0.0000 0.0000 0.5000
```

Largest 10 diffraction maxima, sorted by position, 15° ≤ 2θ ≤ 90°:
Position (°2θ)  I (rel.)  index
22.06  35.5  1 0 1
27.29  100.0  1 1 1
30.74  35.9  0 0 2
32.04  64.0  2 0 0
39.24  15.7  2 1 1
44.99  47.0  2 0 2
45.94  22.0  2 2 0
52.57  15.1  1 1 3
54.26  27.4  3 1 1
56.29  23.1  2 2 2

# Tb3NdTm7
Computed XRD peak list, a wavelength of 1.5418 Å. Input: DFT lattice parameters and positions (GGA-PBE).

Structure:
```
data_Tb3NdTm7
_symmetry_space_group_name_H-M 'P 1 2/m 1'
_symmetry_Int_Tables_number 10
_symmetry_space_group_name_Hall '-P 2y'
_cell_length_a 6.8871
_cell_length_b 5.4734
_cell_length_c 9.8570
_cell_angle_alpha 90.00
_cell_angle_beta 109.43
_cell_angle_gamma 90.00
loop_
_atom_site_label
_atom_site_type_symbol
_atom_site_fract_x
_atom_site_fract_y
_atom_site_fract_z
Tb1 Tb 0.0000 0.0000 0.0000
Tb2 Tb 0.2221 0.5000 0.5050
Nd1 Nd 0.5000 0.0000 0.0000
Tm1 Tm 0.0732 0.0000 0.6685
Tm2 Tm 0.1779 0.5000 0.8582
Tm3 Tm 0.3497 0.5000 0.2104
Tm4 Tm 0.5000 0.0000 0.5000
```

Largest 10 diffraction maxima, sorted by position, 15° ≤ 2θ ≤ 90°:
Position (°2θ)  I (rel.)  index
31.69  21.8  1 1 2
32.05  100.0  2 1 0
32.33  45.1  2 1 -2
32.70  69.2  0 2 0
33.23  54.1  0 1 3
46.89  12.7  2 2 -3
53.21  15.9  4 0 -2
57.98  15.9  2 3 0
58.19  12.3  2 3 -2
63.88  18.3  4 2 -2